Theoretical PXRD pattern
Compound: Pm12Sm5Er
Radiation: copper Kα
Structure: a crystal structure in Alexandria, relaxed with GGA-PBE
Neutral-atom scattering factors, no anomalous dispersion.

Structure:
Lattice parameters (Å, degrees): 11.4012 17.7878 6.0578 90.00 90.06 90.00
Space group C2/m (No. 12)
One atom of each set of equivalent atoms:
Pm1 0.1733 0.1657 0.4554
Pm2 0.1734 0.3330 0.0447
Pm3 0.1749 0.0000 0.0506
Pm4 0.1761 0.5000 0.4491
Sm1 0.0000 0.1649 0.0000
Sm2 0.0000 0.3336 0.5000
Sm3 0.0000 0.5000 0.0000
Er1 0.0000 0.0000 0.5000

Largest 6 diffraction maxima, by angle, 2θ = 15–90°:
two_theta, d (Å), I (rel.), h k l
29.49, 3.029, 25, 0 0 2
30.14, 2.965, 30, 0 6 0
31.62, 2.829, 100, 3 3 1
42.68, 2.119, 19, 0 6 2
54.48, 1.684, 22, 3 9 1
57.60, 1.600, 13, 6 6 0